# Pr3Cu3Sb4
Theoretical X-ray powder pattern, copper Kα. Input: the GGA-PBE geometry in the Materials Project.
Intensities are scaled so that the largest is 100.

Structure:
abc: 9.8102 9.8102 9.8102
angles: 90.00 90.00 90.00
Space group I-43d (No. 220)
One atom of each set of equivalent atoms:
1 Pr 0.0000 0.2500 0.8750 [12 per cell]
2 Cu 0.0000 0.2500 0.3750 [12 per cell]
3 Sb 0.0798 0.4202 0.5798 [16 per cell]

The 10 most intense peaks (15 to 90 degrees two-theta), in order of rising 2θ:
hkl  2θ (°)  d/Å  I_rel
3 1 0  28.8  3.102  51
3 2 1  34.2  2.622  100
4 2 0  41.2  2.194  34
3 3 2  43.3  2.092  10
4 2 2  45.3  2.002  17
4 3 1  47.2  1.924  12
6 1 1  57.9  1.591  17
6 2 0  59.6  1.551  14
5 4 1  61.2  1.514  9
5 5 2  70.5  1.335  14

=====

# GeS2
Theoretical X-ray powder pattern, copper Kα. Input: the GGA-PBE geometry in the Materials Project.
Intensities are scaled so that the largest is 100.

Structure:
abc: 3.5328 3.5328 11.5097
angles: 90.00 90.00 90.00
Space group P4_2/nmc (No. 137, origin choice 2)
One atom of each set of equivalent atoms:
1 Ge 0.2500 0.7500 0.2500 [2 per cell]
2 S 0.2500 0.2500 0.1260 [4 per cell]

The 10 most intense peaks (15 to 90 degrees two-theta), in order of rising 2θ:
hkl  2θ (°)  d/Å  I_rel
0 0 2  15.4  5.755  93
1 0 1  26.4  3.377  100
1 0 2  29.7  3.011  60
1 0 3  34.5  2.599  49
1 1 2  39.3  2.291  34
1 1 4  48.2  1.886  63
2 0 0  51.8  1.766  25
2 0 2  54.4  1.688  22
2 1 1  59.0  1.565  20
1 1 6  60.8  1.523  22

=====

# MgCd
Theoretical X-ray powder pattern, copper Kα. Input: the GGA-PBE geometry in the Materials Project.
Intensities are scaled so that the largest is 100.

Structure:
abc: 6.6471 6.6471 6.6471
angles: 90.00 90.00 90.00
Space group F-43m (No. 216)
One atom of each set of equivalent atoms:
1 Mg 0.0000 0.0000 0.0000 [4 per cell]
2 Cd 0.2500 0.2500 0.7500 [4 per cell]

The 10 most intense peaks (15 to 90 degrees two-theta), in order of rising 2θ:
hkl  2θ (°)  d/Å  I_rel
1 1 1  23.2  3.838  100
2 0 0  26.8  3.324  30
2 2 0  38.3  2.350  57
3 1 1  45.2  2.004  49
4 0 0  55.3  1.662  9
3 3 1  60.7  1.525  20
4 2 0  62.5  1.486  10
4 2 2  69.2  1.357  19
5 1 1  74.1  1.279  14
5 3 1  86.6  1.124  14

=====

# Fe3PtN
Theoretical X-ray powder pattern, copper Kα. Input: the GGA-PBE geometry in the Materials Project.
Intensities are scaled so that the largest is 100.

Structure:
abc: 3.8599 3.8599 3.8599
angles: 90.00 90.00 90.00
Space group Pm-3m (No. 221)
One atom of each set of equivalent atoms:
1 Fe 0.0000 0.0000 0.5000 [3 per cell]
2 Pt 0.5000 0.5000 0.5000 [1 per cell]
3 N 0.0000 0.0000 0.0000 [1 per cell]

The 10 most intense peaks (15 to 90 degrees two-theta), in order of rising 2θ:
hkl  2θ (°)  d/Å  I_rel
1 0 0  23.0  3.860  34
1 1 0  32.8  2.729  45
1 1 1  40.5  2.229  100
2 0 0  47.1  1.930  55
2 1 0  53.1  1.726  17
2 1 1  58.6  1.576  18
2 2 0  68.8  1.365  34
3 0 0  73.6  1.287  9
3 1 1  83.0  1.164  36
2 2 2  87.6  1.114  12

=====

# Nd2CdGe2
Theoretical X-ray powder pattern, copper Kα. Input: the GGA-PBE geometry in the Materials Project.
Intensities are scaled so that the largest is 100.

Structure:
abc: 7.5120 7.5120 4.3594
angles: 90.00 90.00 90.00
Space group P4/mbm (No. 127)
One atom of each set of equivalent atoms:
1 Nd 0.1795 0.3205 0.0000 [4 per cell]
2 Cd 0.0000 0.0000 0.5000 [2 per cell]
3 Ge 0.1200 0.6200 0.5000 [4 per cell]

The 10 most intense peaks (15 to 90 degrees two-theta), in order of rising 2θ:
hkl  2θ (°)  d/Å  I_rel
2 1 0  26.5  3.364  15
2 0 1  31.4  2.846  53
2 1 1  33.7  2.660  100
3 1 0  37.9  2.376  32
0 0 2  41.4  2.180  20
4 1 0  50.1  1.822  11
4 1 1  54.6  1.681  16
3 3 1  56.1  1.640  11
3 1 2  57.4  1.606  19
5 1 1  67.1  1.396  11

=====

# ThInAg2
Theoretical X-ray powder pattern, copper Kα. Input: the GGA-PBE geometry in the Materials Project.
Intensities are scaled so that the largest is 100.

Structure:
abc: 7.2669 7.2669 7.2669
angles: 90.00 90.00 90.00
Space group Fm-3m (No. 225)
One atom of each set of equivalent atoms:
1 Th 0.0000 0.0000 0.0000 [4 per cell]
2 In 0.0000 0.0000 0.5000 [4 per cell]
3 Ag 0.2500 0.2500 0.2500 [8 per cell]

The 10 most intense peaks (15 to 90 degrees two-theta), in order of rising 2θ:
hkl  2θ (°)  d/Å  I_rel
1 1 1  21.2  4.196  8
2 0 0  24.5  3.633  5
2 2 0  34.9  2.569  100
3 1 1  41.2  2.191  5
4 0 0  50.2  1.817  18
3 3 1  55.1  1.667  2
4 2 0  56.6  1.625  2
4 2 2  62.6  1.483  36
4 4 0  73.8  1.285  11
6 2 0  84.3  1.149  16

=====

# RbNaMg14O15
Theoretical X-ray powder pattern, copper Kα. Input: the GGA-PBE geometry in the Materials Project.
Intensities are scaled so that the largest is 100.

Structure:
abc: 4.4050 8.8480 8.4951
angles: 90.00 90.00 90.00
Space group Pmm2 (No. 25)
One atom of each set of equivalent atoms:
1 Rb 0.0000 0.0000 0.0000 [1 per cell]
2 Na 0.0000 0.5000 0.1118 [1 per cell]
3 Mg 0.0000 0.0000 0.5786 [1 per cell]
4 Mg 0.0000 0.2461 0.3395 [2 per cell]
5 Mg 0.0000 0.2838 0.8597 [2 per cell]
6 Mg 0.0000 0.5000 0.5995 [1 per cell]
7 Mg 0.5000 0.0000 0.3336 [1 per cell]
8 Mg 0.5000 0.0000 0.8483 [1 per cell]
9 Mg 0.5000 0.2477 0.6027 [2 per cell]
10 Mg 0.5000 0.2580 0.1062 [2 per cell]
11 Mg 0.5000 0.5000 0.3503 [1 per cell]
12 Mg 0.5000 0.5000 0.8575 [1 per cell]
13 O 0.0000 0.0000 0.3535 [1 per cell]
14 O 0.0000 0.2330 0.6202 [2 per cell]
15 O 0.0000 0.2577 0.0991 [2 per cell]
16 O 0.0000 0.5000 0.3721 [1 per cell]
17 O 0.0000 0.5000 0.8344 [1 per cell]
18 O 0.5000 0.0000 0.0992 [1 per cell]
19 O 0.5000 0.0000 0.6144 [1 per cell]
20 O 0.5000 0.2394 0.8542 [2 per cell]
21 O 0.5000 0.2481 0.3560 [2 per cell]
22 O 0.5000 0.5000 0.0987 [1 per cell]
23 O 0.5000 0.5000 0.6088 [1 per cell]

The 10 most intense peaks (15 to 90 degrees two-theta), in order of rising 2θ:
hkl  2θ (°)  d/Å  I_rel
0 2 2  29.2  3.061  17
1 1 2  30.9  2.890  19
1 2 2  35.7  2.515  42
0 4 0  40.8  2.212  95
2 0 0  41.0  2.203  100
0 0 4  42.6  2.124  59
2 4 0  59.2  1.561  58
0 4 4  60.4  1.532  31
2 0 4  60.6  1.529  29
2 4 4  75.6  1.258  24

=====

# Ce4Si3S12
Theoretical X-ray powder pattern, copper Kα. Input: the GGA-PBE geometry in the Materials Project.
Intensities are scaled so that the largest is 100.

Structure:
abc: 19.2936 19.2936 7.9964
angles: 90.00 90.00 120.00
Space group R3c (No. 161, hexagonal axes)
One atom of each set of equivalent atoms:
1 Ce 0.0000 0.0000 0.0000 [6 per cell]
2 Ce 0.0028 0.2310 0.2052 [18 per cell]
3 Si 0.1471 0.4667 0.3217 [18 per cell]
4 S 0.0006 0.2690 0.8484 [18 per cell]
5 S 0.0838 0.2018 0.5043 [18 per cell]
6 S 0.1253 0.0597 0.7503 [18 per cell]
7 S 0.1534 0.3801 0.1668 [18 per cell]

The 10 most intense peaks (15 to 90 degrees two-theta), in order of rising 2θ:
hkl  2θ (°)  d/Å  I_rel
2 1 1  17.9  4.956  69
4 1 0  24.4  3.646  100
1 2 2  26.4  3.378  44
2 3 2  32.4  2.767  52
5 0 2  35.0  2.567  55
4 2 2  36.3  2.478  27
1 6 1  37.0  2.428  38
4 4 0  37.3  2.412  42
6 1 2  42.0  2.149  25
5 2 3  48.2  1.888  25

=====

# HoGaO3
Theoretical X-ray powder pattern, copper Kα. Input: the GGA-PBE geometry in the Materials Project.
Intensities are scaled so that the largest is 100.

Structure:
abc: 5.5931 7.6341 5.2838
angles: 90.00 90.00 90.00
Space group Pnma (No. 62)
One atom of each set of equivalent atoms:
1 Ho 0.0690 0.2500 0.0205 [4 per cell]
2 Ga 0.0000 0.0000 0.5000 [4 per cell]
3 O 0.0415 0.7500 0.3852 [4 per cell]
4 O 0.1961 0.5588 0.8062 [8 per cell]

The 10 most intense peaks (15 to 90 degrees two-theta), in order of rising 2θ:
hkl  2θ (°)  d/Å  I_rel
1 1 1  26.0  3.431  20
2 0 0  32.0  2.797  18
1 2 1  33.1  2.707  100
0 0 2  33.9  2.642  24
2 1 0  34.1  2.626  13
2 0 2  47.3  1.920  17
0 4 0  47.6  1.909  14
2 1 2  48.9  1.862  12
3 1 1  53.5  1.713  18
1 2 3  60.2  1.538  21

=====

# MgCr2N2
Theoretical X-ray powder pattern, copper Kα. Input: the GGA-PBE geometry in the Materials Project.
Intensities are scaled so that the largest is 100.

Structure:
abc: 3.7006 3.7006 5.4688
angles: 90.00 90.00 90.00
Space group P-4m2 (No. 115)
One atom of each set of equivalent atoms:
1 Mg 0.0000 0.0000 0.0000 [1 per cell]
2 Cr 0.5000 0.5000 0.2519 [2 per cell]
3 N 0.0000 0.5000 0.7700 [2 per cell]

The 10 most intense peaks (15 to 90 degrees two-theta), in order of rising 2θ:
hkl  2θ (°)  d/Å  I_rel
0 0 1  16.2  5.469  13
1 0 0  24.0  3.701  84
1 0 1  29.1  3.065  23
0 0 2  32.8  2.734  32
1 1 0  34.3  2.617  54
1 0 2  41.0  2.199  100
2 0 0  49.2  1.850  39
2 1 0  55.5  1.655  14
2 0 2  60.4  1.532  16
2 1 2  66.0  1.416  42